No. 1
Calculated powder X-ray diffraction pattern
Compound: CeBi12Rh4
Radiation: Cu Kα
Structure: a crystal structure in Alexandria, relaxed with GGA-PBE

Structural model:
```
data_CeBi12Rh4
_symmetry_space_group_name_H-M 'I m -3'
_symmetry_Int_Tables_number 204
_symmetry_space_group_name_Hall '-I 2 2 3'
_cell_length_a 9.847
_cell_length_b 9.847
_cell_length_c 9.847
_cell_angle_alpha 90.00
_cell_angle_beta 90.00
_cell_angle_gamma 90.00
loop_
_atom_site_label
_atom_site_type_symbol
_atom_site_fract_x
_atom_site_fract_y
_atom_site_fract_z
_atom_site_occupancy
Ce1 Ce 0.000 0.000 0.000 1
Bi1 Bi 0.000 0.333 0.159 1
Rh1 Rh 0.250 0.250 0.250 1
```

Largest 12 diffraction maxima, most intense first, 10 to 90 degrees two-theta:
two_theta	I (rel.)
28.67	1000
34.07	473
47.06	237
54.33	223
45.11	220
64.15	208
40.99	181
83.26	154
56.04	118
81.85	99
84.68	96
73.20	83


No. 2
Calculated powder X-ray diffraction pattern
Compound: Ce4BiRu2
Radiation: Cu Kα
Structure: a crystal structure in Alexandria, relaxed with GGA-PBE

Structural model:
```
data_Ce4BiRu2
_symmetry_space_group_name_H-M 'C m c m'
_symmetry_Int_Tables_number 63
_symmetry_space_group_name_Hall '-C 2c 2'
_cell_length_a 4.539
_cell_length_b 12.259
_cell_length_c 13.386
_cell_angle_alpha 90.00
_cell_angle_beta 90.00
_cell_angle_gamma 90.00
loop_
_atom_site_label
_atom_site_type_symbol
_atom_site_fract_x
_atom_site_fract_y
_atom_site_fract_z
_atom_site_occupancy
Ce1 Ce 0.000 0.000 0.000 1
Ce2 Ce 0.000 0.271 0.109 1
Ce3 Ce 0.000 0.409 0.750 1
Bi1 Bi 0.000 0.107 0.750 1
Ru1 Ru 0.000 0.392 0.553 1
```

Largest 12 diffraction maxima, most intense first, 10 to 90 degrees two-theta:
two_theta	I (rel.)
30.18	1000
39.74	641
28.99	426
30.43	409
32.37	251
45.15	212
50.84	205
66.23	153
32.12	144
44.11	130
39.89	130
29.41	130


No. 3
Calculated powder X-ray diffraction pattern
Compound: Ce5Bi2Ru
Radiation: Cu Kα
Structure: a crystal structure in Alexandria, relaxed with GGA-PBE

Structural model:
```
data_Ce5Bi2Ru
_symmetry_space_group_name_H-M 'P b a m'
_symmetry_Int_Tables_number 55
_cell_length_a 7.972
_cell_length_b 12.575
_cell_length_c 4.644
_cell_angle_alpha 90.00
_cell_angle_beta 90.00
_cell_angle_gamma 90.00
loop_
_symmetry_equiv_pos_as_xyz
'x,y,z'
'-x,-y,-z'
'-x,-y,z'
'x,y,-z'
'x+1/2,-y+1/2,-z'
'-x+1/2,y+1/2,z'
'-x+1/2,y+1/2,-z'
'x+1/2,-y+1/2,z'
loop_
_atom_site_label
_atom_site_type_symbol
_atom_site_fract_x
_atom_site_fract_y
_atom_site_fract_z
_atom_site_occupancy
Ce1 Ce 0.000 0.000 0.000 1
Ce2 Ce 0.118 0.308 0.000 1
Ce3 Ce 0.210 0.555 0.500 1
Bi1 Bi 0.091 0.819 0.500 1
Ru1 Ru 0.000 0.500 0.000 1
```

Largest 12 diffraction maxima, most intense first, 10 to 90 degrees two-theta:
two_theta	I (rel.)
30.39	1000
30.85	801
32.86	540
30.57	537
38.78	462
36.71	273
50.16	272
42.42	206
47.88	187
54.47	185
59.88	173
63.24	162


No. 4
Calculated powder X-ray diffraction pattern
Compound: CeBi4S8
Radiation: Cu Kα
Structure: a crystal structure in Alexandria, relaxed with GGA-PBE

Structural model:
```
data_CeBi4S8
_symmetry_space_group_name_H-M 'R -3 m'
_symmetry_Int_Tables_number 166
_symmetry_space_group_name_Hall '-R 3 2"'
_cell_length_a 7.9784
_cell_length_b 7.9784
_cell_length_c 20.0820
_cell_angle_alpha 90.00
_cell_angle_beta 90.00
_cell_angle_gamma 120.00
loop_
_atom_site_label
_atom_site_type_symbol
_atom_site_fract_x
_atom_site_fract_y
_atom_site_fract_z
_atom_site_occupancy
Ce1 Ce 0.0000 0.0000 0.0000 1
Bi1 Bi 0.0000 0.0000 0.5000 1
Bi2 Bi 0.0000 0.5000 0.5000 1
S1 S 0.0000 0.0000 0.2452 1
S2 S 0.0067 0.5034 0.7495 1
```

Largest 12 diffraction maxima, most intense first, 10 to 90 degrees two-theta:
two_theta	I (rel.)
31.43	1000
13.23	771
26.17	484
27.30	443
44.62	376
45.47	357
34.24	244
47.57	206
56.33	188
73.93	171
75.18	164
53.48	160


No. 5
Calculated powder X-ray diffraction pattern
Compound: CeYBiS2
Radiation: Cu Kα
Structure: a crystal structure in Alexandria, relaxed with GGA-PBE

Structural model:
```
data_CeYBiS2
_symmetry_space_group_name_H-M 'I 4 m m'
_symmetry_Int_Tables_number 107
_symmetry_space_group_name_Hall 'I 4 -2'
_cell_length_a 4.475
_cell_length_b 4.475
_cell_length_c 13.818
_cell_angle_alpha 90.00
_cell_angle_beta 90.00
_cell_angle_gamma 90.00
loop_
_atom_site_label
_atom_site_type_symbol
_atom_site_fract_x
_atom_site_fract_y
_atom_site_fract_z
_atom_site_occupancy
Ce1 Ce 0.000 0.000 0.000 1
Y1 Y 0.000 0.000 0.281 1
Bi1 Bi 0.000 0.000 0.635 1
S1 S 0.000 0.500 0.387 1
```

Largest 12 diffraction maxima, most intense first, 10 to 90 degrees two-theta:
two_theta	I (rel.)
27.80	1000
49.67	410
28.20	391
40.31	280
31.09	253
38.28	207
48.92	197
56.80	134
80.08	103
79.50	97
58.33	94
12.81	89


No. 6
Calculated powder X-ray diffraction pattern
Compound: Ce6BiSb3
Radiation: Cu Kα
Structure: a crystal structure in Alexandria, relaxed with GGA-PBE

Structural model:
```
data_Ce6BiSb3
_symmetry_space_group_name_H-M 'P 1 21/c 1'
_symmetry_Int_Tables_number 14
_cell_length_a 7.656
_cell_length_b 8.820
_cell_length_c 12.421
_cell_angle_alpha 90.00
_cell_angle_beta 127.79
_cell_angle_gamma 90.00
loop_
_symmetry_equiv_pos_as_xyz
'x,y,z'
'-x,-y,-z'
'-x,y+1/2,-z+1/2'
'x,-y+1/2,z+1/2'
loop_
_atom_site_label
_atom_site_type_symbol
_atom_site_fract_x
_atom_site_fract_y
_atom_site_fract_z
_atom_site_occupancy
Ce1 Ce 0.024 0.102 0.247 1
Ce2 Ce 0.220 0.680 0.068 1
Ce3 Ce 0.409 0.173 0.067 1
Bi1 Bi 0.500 0.000 0.500 1
Sb1 Sb 0.000 0.000 0.000 1
Sb2 Sb 0.301 0.123 0.750 1
```

Largest 12 diffraction maxima, most intense first, 10 to 90 degrees two-theta:
two_theta	I (rel.)
29.67	1000
32.63	596
31.41	580
23.78	575
32.28	534
29.59	478
25.37	328
36.63	313
26.99	276
41.09	256
41.24	254
45.09	233


No. 7
Calculated powder X-ray diffraction pattern
Compound: Ce2ThBiSb2
Radiation: Cu Kα
Structure: a crystal structure in Alexandria, relaxed with GGA-PBE

Structural model:
```
data_Ce2ThBiSb2
_symmetry_space_group_name_H-M 'P -3 m 1'
_symmetry_Int_Tables_number 164
_symmetry_space_group_name_Hall '-P 3 2"'
_cell_length_a 4.5238
_cell_length_b 4.5238
_cell_length_c 11.1692
_cell_angle_alpha 90.00
_cell_angle_beta 90.00
_cell_angle_gamma 120.00
loop_
_atom_site_label
_atom_site_type_symbol
_atom_site_fract_x
_atom_site_fract_y
_atom_site_fract_z
_atom_site_occupancy
Ce1 Ce 0.3333 0.6667 0.1724 1
Th1 Th 0.0000 0.0000 0.5000 1
Bi1 Bi 0.0000 0.0000 0.0000 1
Sb1 Sb 0.3333 0.6667 0.6651 1
```

Largest 12 diffraction maxima, most intense first, 10 to 90 degrees two-theta:
two_theta	I (rel.)
27.82	1000
39.64	385
39.85	373
49.30	211
65.18	184
64.87	176
72.21	134
57.47	131
71.77	69
48.93	68
72.36	65
22.70	47


No. 8
Calculated powder X-ray diffraction pattern
Compound: CeTmBiSb
Radiation: Cu Kα
Structure: a crystal structure in Alexandria, relaxed with GGA-PBE

Structural model:
```
data_CeTmBiSb
_symmetry_space_group_name_H-M 'R 3 m'
_symmetry_Int_Tables_number 160
_symmetry_space_group_name_Hall 'R 3 -2"'
_cell_length_a 4.4707
_cell_length_b 4.4707
_cell_length_c 21.8556
_cell_angle_alpha 90.00
_cell_angle_beta 90.00
_cell_angle_gamma 120.00
loop_
_atom_site_label
_atom_site_type_symbol
_atom_site_fract_x
_atom_site_fract_y
_atom_site_fract_z
_atom_site_occupancy
Ce1 Ce 0.0000 0.0000 0.0000 1
Tm1 Tm 0.0000 0.0000 0.4957 1
Bi1 Bi 0.0000 0.0000 0.2447 1
Sb1 Sb 0.0000 0.0000 0.7515 1
```

Largest 12 diffraction maxima, most intense first, 10 to 90 degrees two-theta:
two_theta	I (rel.)
28.25	1000
40.38	770
66.14	357
50.01	277
73.39	201
58.43	130
73.52	62
87.22	45
87.38	41
12.15	39
23.33	32
30.85	22


No. 9
Calculated powder X-ray diffraction pattern
Compound: Ce2ScBi2
Radiation: Cu Kα
Structure: a crystal structure in Alexandria, relaxed with GGA-PBE

Structural model:
```
data_Ce2ScBi2
_symmetry_space_group_name_H-M 'C m c m'
_symmetry_Int_Tables_number 63
_symmetry_space_group_name_Hall '-C 2c 2'
_cell_length_a 5.151
_cell_length_b 17.887
_cell_length_c 6.404
_cell_angle_alpha 90.00
_cell_angle_beta 90.00
_cell_angle_gamma 90.00
loop_
_atom_site_label
_atom_site_type_symbol
_atom_site_fract_x
_atom_site_fract_y
_atom_site_fract_z
_atom_site_occupancy
Ce1 Ce 0.000 0.000 0.000 1
Ce2 Ce 0.000 0.198 0.250 1
Sc1 Sc 0.000 0.408 0.250 1
Bi1 Bi 0.000 0.176 0.750 1
Bi2 Bi 0.000 0.418 0.750 1
```

Largest 12 diffraction maxima, most intense first, 10 to 90 degrees two-theta:
two_theta	I (rel.)
30.42	1000
36.31	618
34.84	452
27.86	311
49.76	288
41.72	279
26.78	266
66.51	216
62.15	191
42.88	180
33.33	180
24.28	178


No. 10
Calculated powder X-ray diffraction pattern
Compound: Ce5ScBi3
Radiation: Cu Kα
Structure: a crystal structure in Alexandria, relaxed with GGA-PBE

Structural model:
```
data_Ce5ScBi3
_symmetry_space_group_name_H-M 'P 63/m c m'
_symmetry_Int_Tables_number 193
_symmetry_space_group_name_Hall '-P 6c 2'
_cell_length_a 9.6685
_cell_length_b 9.6685
_cell_length_c 6.5637
_cell_angle_alpha 90.00
_cell_angle_beta 90.00
_cell_angle_gamma 120.00
loop_
_atom_site_label
_atom_site_type_symbol
_atom_site_fract_x
_atom_site_fract_y
_atom_site_fract_z
_atom_site_occupancy
Ce1 Ce 0.0000 0.3010 0.2500 1
Ce2 Ce 0.3333 0.6667 0.0000 1
Sc1 Sc 0.0000 0.0000 0.0000 1
Bi1 Bi 0.0000 0.3583 0.7500 1
```

Largest 12 diffraction maxima, most intense first, 10 to 90 degrees two-theta:
two_theta	I (rel.)
32.07	1000
32.99	790
46.67	270
66.05	253
57.75	251
42.52	226
31.38	184
27.17	160
57.16	147
84.21	99
60.15	92
76.79	89


No. 11
Calculated powder X-ray diffraction pattern
Compound: CeScBiTe
Radiation: Cu Kα
Structure: a crystal structure in Alexandria, relaxed with GGA-PBE

Structural model:
```
data_CeScBiTe
_symmetry_space_group_name_H-M 'R 3 m'
_symmetry_Int_Tables_number 160
_symmetry_space_group_name_Hall 'R 3 -2"'
_cell_length_a 4.3758
_cell_length_b 4.3758
_cell_length_c 21.5600
_cell_angle_alpha 90.00
_cell_angle_beta 90.00
_cell_angle_gamma 120.00
loop_
_atom_site_label
_atom_site_type_symbol
_atom_site_fract_x
_atom_site_fract_y
_atom_site_fract_z
_atom_site_occupancy
Ce1 Ce 0.0000 0.0000 0.0000 1
Sc1 Sc 0.0000 0.0000 0.4989 1
Bi1 Bi 0.0000 0.0000 0.2417 1
Te1 Te 0.0000 0.0000 0.7575 1
```

Largest 12 diffraction maxima, most intense first, 10 to 90 degrees two-theta:
two_theta	I (rel.)
28.80	1000
41.26	389
41.10	356
51.10	204
67.68	175
67.45	144
75.11	121
59.65	119
31.43	116
23.84	114
24.91	112
57.01	78


No. 12
Calculated powder X-ray diffraction pattern
Compound: CeSm8Bi6
Radiation: Cu Kα
Structure: a crystal structure in Alexandria, relaxed with GGA-PBE

Structural model:
```
data_CeSm8Bi6
_symmetry_space_group_name_H-M 'R -3'
_symmetry_Int_Tables_number 148
_symmetry_space_group_name_Hall '-R 3'
_cell_length_a 8.3824
_cell_length_b 8.3824
_cell_length_c 25.6273
_cell_angle_alpha 90.00
_cell_angle_beta 90.00
_cell_angle_gamma 120.00
loop_
_atom_site_label
_atom_site_type_symbol
_atom_site_fract_x
_atom_site_fract_y
_atom_site_fract_z
_atom_site_occupancy
Ce1 Ce 0.0000 0.0000 0.0000 1
Sm1 Sm 0.0000 0.0000 0.3334 1
Sm2 Sm 0.0010 0.3318 0.1224 1
Bi1 Bi 0.0006 0.3363 0.9324 1
```

Largest 12 diffraction maxima, most intense first, 10 to 90 degrees two-theta:
two_theta	I (rel.)
29.87	1000
37.16	649
23.65	319
38.21	293
67.03	280
48.38	268
62.54	250
47.80	167
21.20	157
67.68	112
54.36	107
86.84	105